Structure and theoretical powder diffractogram of Ca3Tb3MgS8 (a DFT-relaxed cell (GGA-PBE, Alexandria); Cu Kα).
Peak positions follow from Bragg's law for the DFT cell and can differ from measured ones.

The 12 most intense peaks (10° ≤ 2θ ≤ 90°), in order of falling intensity:
(hkl)  d_spacing  Rel. int.
0 2 4  2.798  100
0 0 3  6.544  50
2 0 8  1.991  35
2 2 0  1.967  34
0 2 1  3.356  26
2 0 2  3.218  23
0 1 2  5.597  21
4 0 4  1.609  18
2 4 4  1.245  15
2 2 12  1.258  15
2 2 3  1.884  14
0 2 7  2.165  11

Structure:
a = 7.8670 Å, b = 7.8670 Å, c = 19.6310 Å
α = 90.00°, β = 90.00°, γ = 120.00°
Space group R-3m (No. 166, hexagonal axes)
One atom of each set of equivalent atoms:
Ca  0.0000  0.5000  0.0000 x9
Tb  0.0000  0.5000  0.5000 x9
Mg  0.0000  0.0000  0.5000 x3
S  0.0000  0.0000  0.2482 x6
S  0.0111  0.5055  0.2440 x18